Tl2VCuF6: calculated XRD peak list (Cu Kα), based on a crystal structure in Alexandria, relaxed with PBE+U.
Lines closer than 0.1° are merged.

Cell and atoms:
```
Tl2VCuF6
1.0
-3.2022 3.2538 3.9139
3.2022 -3.2538 3.9139
3.2022 3.2538 -3.9139
Tl V Cu F
2 1 1 6
Direct
0.2500 0.2500 0.0000
0.7500 0.7500 0.0000
0.5000 0.0000 0.5000
0.0000 0.5000 0.5000
0.2453 0.7453 0.5000
0.2844 0.2193 0.5038
0.2844 0.7807 0.0651
0.7156 0.2193 0.9349
0.7156 0.7807 0.4962
0.7547 0.2547 0.5000
```

Top 10 peaks for 2θ = 10–90°, by angle:
two_theta	I_rel
19.45	32.2
27.41	32.2
27.86	30.7
30.08	100.0
35.89	20.6
36.25	20.2
39.48	40.3
50.15	23.5
50.70	29.1
62.52	19.6